# Li2V2P3O12
Computed PXRD pattern, Cu Kα (λ = 1.5418 Å). Input: a DFT-relaxed cell (PBE+U, Alexandria).
Neutral-atom scattering factors, no anomalous dispersion.

Structural model:
```
data_Li2V2P3O12
_cell_length_a 8.310
_cell_length_b 8.457
_cell_length_c 8.956
_cell_angle_alpha 91.21
_cell_angle_beta 117.49
_cell_angle_gamma 119.23
_space_group_name_H-M_alt 'P -1'
_space_group_IT_number 2
_space_group_name_Hall '-P 1'
loop_
_atom_site_label
_atom_site_type_symbol
_atom_site_fract_x
_atom_site_fract_y
_atom_site_fract_z
_atom_site_occupancy
Li1 Li 0.059 0.233 0.146 1
Li2 Li 0.189 0.427 0.857 1
V1 V 0.291 0.654 0.435 1
V2 V 0.299 0.147 0.942 1
P1 P 0.212 0.748 0.745 1
P2 P 0.212 0.959 0.244 1
P3 P 0.496 0.531 0.251 1
O1 O 0.009 0.388 0.269 1
O2 O 0.034 0.996 0.211 1
O3 O 0.136 0.755 0.263 1
O4 O 0.178 0.690 0.561 1
O5 O 0.230 0.958 0.080 1
O6 O 0.289 0.956 0.795 1
O7 O 0.295 0.347 0.087 1
O8 O 0.342 0.333 0.797 1
O9 O 0.376 0.705 0.881 1
O10 O 0.388 0.516 0.586 1
O11 O 0.390 0.621 0.291 1
O12 O 0.430 0.109 0.413 1
```

Top 6 peaks for 2θ = 15–90°, by angle:
| Position (°2θ) | I (rel.) | index |
| --- | --- | --- |
| 19.9 | 100 | 1 -1 1 |
| 24.0 | 60 | 1 -2 1 |
| 24.2 | 55 | 1 1 0 |
| 24.5 | 29 | -2 1 2 |
| 28.8 | 28 | 0 2 -2 |
| 29.4 | 27 | -2 2 2 |